The following is a computed PXRD pattern of Ac2Ge4Pd5. It was derived from a cell relaxed with PBE, using a wavelength of 1.5418 Å.
Intensities are scaled so that the largest is 100.

Top 12 peaks for 2θ from 10° to 90°, most intense first:
2theta  I_rel
34.31  100
35.05  94
38.78  72
25.07  56
29.98  53
30.26  36
61.48  27
83.27  27
62.27  25
49.86  25
56.07  25
50.26  20

Structural model:
```
11
Lattice="0.0000 5.2217 7.2611 3.0209 0.0000 7.2611 3.0209 5.2217 0.0000" Properties=species:S:1:pos:R:3 pbc="T T T"
Ac 3.0209 5.2217 2.0556
Ac 3.0209 5.2217 12.4667
Ge 3.0209 3.6287 5.3702
Ge 3.0209 3.6287 9.1521
Ge 3.0209 6.8147 5.3702
Ge 3.0209 6.8147 9.1521
Pd 1.5104 2.6108 0.0000
Pd 1.5104 2.6108 3.6306
Pd 1.5104 2.6108 7.2611
Pd 3.0209 5.2217 7.2611
Pd 4.5313 7.8325 10.8917
```